Record 1
Structure and simulated powder diffractogram of RbGdH2S2O9 (a DFT-relaxed cell (GGA-PBE, Alexandria); Cu Ka).
Peak positions follow from Bragg's law for the DFT cell and can differ from measured ones.

Top 6 peaks for 2θ = 10–80°, by intensity:
2θ (°), I (rel.)
28.32, 100
26.89, 94
13.98, 88
26.63, 71
14.23, 39
33.26, 38

Cell and atoms:
```
data_RbGdH2S2O9
_space_group_name_H-M_alt 'P 1 21/c 1'
_space_group_IT_number 14
_cell_length_a 10.386
_cell_length_b 8.465
_cell_length_c 10.790
_cell_angle_alpha 90.00
_cell_angle_beta 117.78
_cell_angle_gamma 90.00
loop_
_space_group_symop_operation_xyz
'x,y,z'
'-x,-y,-z'
'-x,y+1/2,-z+1/2'
'x,-y+1/2,z+1/2'
loop_
_atom_site_label
_atom_site_fract_x
_atom_site_fract_y
_atom_site_fract_z
_atom_site_occupancy
Rb1 0.232 0.192 0.214 1
Gd1 0.247 0.649 0.015 1
H1 0.237 0.548 0.382 1
H2 0.367 0.509 0.527 1
S1 0.041 0.661 0.156 1
S2 0.490 0.688 0.867 1
O1 0.047 0.738 0.544 1
O2 0.059 0.742 0.778 1
O3 0.101 0.078 0.400 1
O4 0.165 0.546 0.198 1
O5 0.278 0.573 0.483 1
O6 0.367 0.608 0.879 1
O7 0.400 0.069 0.623 1
O8 0.431 0.741 0.224 1
O9 0.443 0.191 0.024 1
```


Record 2
Structure and simulated powder diffractogram of SmGdH (a DFT-relaxed cell (GGA-PBE, Alexandria); Cu Ka).
Peak positions follow from Bragg's law for the DFT cell and can differ from measured ones.

Top 6 peaks for 2θ = 10–80°, by intensity:
2θ (°), I (rel.)
32.19, 100
31.18, 24
28.07, 23
59.82, 22
56.13, 20
49.67, 20

Cell and atoms:
```
data_SmGdH
_space_group_name_H-M_alt 'P 3 m 1'
_space_group_IT_number 156
_cell_length_a 3.6707
_cell_length_b 3.6707
_cell_length_c 5.7366
_cell_angle_alpha 90.00
_cell_angle_beta 90.00
_cell_angle_gamma 120.00
loop_
_space_group_symop_operation_xyz
'x,y,z'
'-y,x-y,z'
'-x+y,-x,z'
'-y,-x,z'
'-x+y,y,z'
'x,x-y,z'
loop_
_atom_site_label
_atom_site_fract_x
_atom_site_fract_y
_atom_site_fract_z
_atom_site_occupancy
Sm1 0.0000 0.0000 0.0000 1
Gd1 0.6667 0.3333 0.5160 1
H1 0.3333 0.6667 0.7527 1
```


Record 3
Structure and simulated powder diffractogram of KGdHfTiO6 (a DFT-relaxed cell (GGA-PBE, Alexandria); Cu Ka).
Peak positions follow from Bragg's law for the DFT cell and can differ from measured ones.

Top 6 peaks for 2θ = 10–80°, by intensity:
2θ (°), I (rel.)
31.57, 100
19.18, 42
56.21, 39
45.24, 32
37.20, 26
65.91, 19

Cell and atoms:
```
data_KGdHfTiO6
_space_group_name_H-M_alt 'F -4 3 m'
_space_group_IT_number 216
_space_group_name_Hall 'F -4 2 3'
_cell_length_a 8.017
_cell_length_b 8.017
_cell_length_c 8.017
_cell_angle_alpha 90.00
_cell_angle_beta 90.00
_cell_angle_gamma 90.00
loop_
_atom_site_label
_atom_site_fract_x
_atom_site_fract_y
_atom_site_fract_z
_atom_site_occupancy
K1 0.000 0.000 0.000 1
Gd1 0.000 0.000 0.500 1
Hf1 0.250 0.250 0.750 1
Ti1 0.250 0.250 0.250 1
O1 0.006 0.250 0.250 1
```